(1)
# Y4GaRu3
Simulated PXRD pattern, a wavelength of 1.5418 Å. Input: a structure optimized by DFT (PBE).
No peak broadening, texture or thermal motion is included.

Structure:
Unit cell a=4.8736 b=4.8736 c=6.9623 alpha=90.00 beta=90.00 gamma=90.00
Element x y z (fractional)
Y 0.0000 0.5000 0.2410
Y 0.0000 0.5000 0.7590
Y 0.5000 0.0000 0.2410
Y 0.5000 0.0000 0.7590
Ga 0.0000 0.0000 0.5000
Ru 0.0000 0.0000 0.0000
Ru 0.5000 0.5000 0.0000
Ru 0.5000 0.5000 0.5000

Largest 10 diffraction maxima, in order of rising 2θ, 5 to 70 degrees two-theta:
12.71 deg, rel. 2; 18.20 deg, rel. 1; 22.27 deg, rel. 1; 36.69 deg, rel. 100; 36.89 deg, rel. 50; 47.22 deg, rel. 1; 52.58 deg, rel. 9; 53.15 deg, rel. 17; 65.95 deg, rel. 17; 66.33 deg, rel. 34


(2)
# Rb2TiCl5
Simulated PXRD pattern, a wavelength of 1.5418 Å. Input: a structure optimized by DFT (PBE).
No peak broadening, texture or thermal motion is included.

Structure:
Unit cell a=9.2002 b=7.0772 c=14.6522 alpha=90.00 beta=90.00 gamma=90.00
Element x y z (fractional)
Rb 0.0376 0.2500 0.2058
Rb 0.1658 0.7500 0.4162
Rb 0.3342 0.2500 0.9162
Rb 0.4624 0.7500 0.7058
Rb 0.5376 0.2500 0.2942
Rb 0.6658 0.7500 0.0838
Rb 0.8342 0.2500 0.5838
Rb 0.9624 0.7500 0.7942
Ti 0.1732 0.7500 0.0594
Ti 0.3268 0.2500 0.5594
Ti 0.6732 0.7500 0.4406
Ti 0.8268 0.2500 0.9406
Cl 0.0000 0.0000 0.0000
Cl 0.0000 0.5000 0.0000
Cl 0.0321 0.7500 0.1969
Cl 0.1686 0.0077 0.6117
Cl 0.1686 0.4923 0.6117
Cl 0.2188 0.2500 0.4058
Cl 0.2812 0.7500 0.9058
Cl 0.3314 0.5077 0.1117
Cl 0.3314 0.9923 0.1117
Cl 0.4679 0.2500 0.6969
Cl 0.5000 0.0000 0.5000
Cl 0.5000 0.5000 0.5000
Cl 0.5321 0.7500 0.3031
Cl 0.6686 0.0077 0.8883
Cl 0.6686 0.4923 0.8883
Cl 0.7188 0.2500 0.0942
Cl 0.7812 0.7500 0.5942
Cl 0.8314 0.5077 0.3883
Cl 0.8314 0.9923 0.3883
Cl 0.9679 0.2500 0.8031

Largest 10 diffraction maxima, in order of rising 2θ, 5 to 70 degrees two-theta:
22.11 deg, rel. 69; 22.83 deg, rel. 48; 25.17 deg, rel. 47; 26.12 deg, rel. 41; 29.72 deg, rel. 100; 32.05 deg, rel. 75; 32.50 deg, rel. 65; 32.73 deg, rel. 50; 34.23 deg, rel. 75; 50.91 deg, rel. 48


(3)
# Pm2SmTe2
Simulated PXRD pattern, a wavelength of 1.5418 Å. Input: a structure optimized by DFT (PBE).
No peak broadening, texture or thermal motion is included.

Structure:
Unit cell a=7.4859 b=7.4859 c=7.4859 alpha=147.78 beta=130.67 gamma=60.15
Element x y z (fractional)
Pm 0.1414 0.1414 0.0000
Pm 0.8586 0.8586 0.0000
Sm 0.5000 0.5000 0.0000
Te 0.3212 0.8212 0.5000
Te 0.6788 0.1788 0.5000

Largest 10 diffraction maxima, in order of rising 2θ, 5 to 70 degrees two-theta:
28.57 deg, rel. 63; 29.26 deg, rel. 30; 29.84 deg, rel. 100; 37.58 deg, rel. 23; 41.79 deg, rel. 94; 43.57 deg, rel. 20; 51.45 deg, rel. 16; 52.93 deg, rel. 23; 63.42 deg, rel. 18; 67.65 deg, rel. 20


Which formula does entry 2 have? Rb2TiCl5